Structure and simulated powder XRD pattern of Mg3GaRh3 (a structure optimized by DFT (GGA-PBE); Cu Kα).
No peak broadening, texture or thermal motion is included.

Largest 10 diffraction maxima, by intensity, 10 to 90 degrees two-theta:
| index | 2θ/deg | Rel. int. |
| --- | --- | --- |
| 2 2 2 | 41.54 | 100 |
| 1 1 0 | 14.41 | 50 |
| 0 4 0 | 40.12 | 27 |
| 2 2 0 | 29.05 | 27 |
| 0 0 4 | 60.21 | 24 |
| 4 0 0 | 42.96 | 23 |
| 0 2 0 | 19.75 | 18 |
| 2 6 2 | 73.86 | 16 |
| 6 2 2 | 77.75 | 15 |
| 1 1 2 | 32.55 | 10 |

Cell and atoms:
```
data_Mg3GaRh3
_chemical_formula_sum 'Mg12 Ga4 Rh12'
_space_group_name_H-M_alt 'C m m m'
_space_group_IT_number 65
_space_group_name_Hall '-C 2 2'
_cell_length_a 8.4206
_cell_length_b 8.9904
_cell_length_c 6.1528
_cell_angle_alpha 90.00
_cell_angle_beta 90.00
_cell_angle_gamma 90.00
loop_
_atom_site_label
_atom_site_type_symbol
_atom_site_fract_x
_atom_site_fract_y
_atom_site_fract_z
_atom_site_occupancy
Mg1 Mg 0.0000 0.2436 0.0000 1
Mg2 Mg 0.2263 0.5000 0.5000 1
Mg3 Mg 0.2468 0.5000 0.0000 1
Ga1 Ga 0.0000 0.2281 0.5000 1
Rh1 Rh 0.0000 0.0000 0.2568 1
Rh2 Rh 0.2500 0.2500 0.2605 1
```

Structure and simulated powder XRD pattern of Na5O2 (a structure optimized by DFT (GGA-PBE); Cu Kα).
No peak broadening, texture or thermal motion is included.

Largest 10 diffraction maxima, by intensity, 10 to 90 degrees two-theta:
| index | 2θ/deg | Rel. int. |
| --- | --- | --- |
| 5 1 0 | 31.28 | 100 |
| 2 0 0 | 10.58 | 76 |
| 7 1 -2 | 48.80 | 42 |
| 4 0 0 | 21.26 | 38 |
| 3 1 -2 | 36.27 | 37 |
| 2 2 -2 | 45.20 | 34 |
| 5 1 2 | 46.18 | 33 |
| 0 2 0 | 32.44 | 31 |
| 0 2 2 | 44.75 | 23 |
| 5 3 0 | 57.14 | 18 |

Cell and atoms:
```
data_Na5O2
_chemical_formula_sum 'Na20 O8'
_space_group_name_H-M_alt 'C 1 2/c 1'
_space_group_IT_number 15
_space_group_name_Hall '-C 2yc'
_cell_length_a 16.8375
_cell_length_b 5.5200
_cell_length_c 6.0050
_cell_angle_alpha 90.00
_cell_angle_beta 96.87
_cell_angle_gamma 90.00
loop_
_atom_site_label
_atom_site_type_symbol
_atom_site_fract_x
_atom_site_fract_y
_atom_site_fract_z
_atom_site_occupancy
Na1 Na 0.0000 0.0287 0.2500 1
Na2 Na 0.0933 0.4441 0.8678 1
Na3 Na 0.1739 0.0380 0.3172 1
O1 O 0.0896 0.2012 0.5557 1
```

Structure and simulated powder XRD pattern of YHo2Tm6 (a structure optimized by DFT (GGA-PBE); Cu Kα).
No peak broadening, texture or thermal motion is included.

Largest 10 diffraction maxima, by intensity, 10 to 90 degrees two-theta:
| index | 2θ/deg | Rel. int. |
| --- | --- | --- |
| 4 2 -1 | 31.92 | 100 |
| 2 2 -2 | 31.44 | 57 |
| 0 4 1 | 29.16 | 40 |
| 1 5 0 | 32.73 | 37 |
| 2 4 1 | 34.25 | 34 |
| 2 0 2 | 35.17 | 33 |
| 1 3 -2 | 33.71 | 30 |
| 3 1 1 | 29.55 | 22 |
| 6 4 -3 | 61.29 | 22 |
| 3 3 0 | 29.04 | 16 |

Cell and atoms:
```
data_YHo2Tm6
_chemical_formula_sum 'Y4 Ho8 Tm24'
_space_group_name_H-M_alt 'C 1 2/c 1'
_space_group_IT_number 15
_space_group_name_Hall '-C 2yc'
_cell_length_a 12.6140
_cell_length_b 14.0368
_cell_length_c 6.4639
_cell_angle_alpha 90.00
_cell_angle_beta 103.99
_cell_angle_gamma 90.00
loop_
_atom_site_label
_atom_site_type_symbol
_atom_site_fract_x
_atom_site_fract_y
_atom_site_fract_z
_atom_site_occupancy
Y1 Y 0.0000 0.1191 0.2500 1
Ho1 Ho 0.1415 0.4764 0.3696 1
Tm1 Tm 0.0373 0.3148 0.0031 1
Tm2 Tm 0.1348 0.0890 0.8149 1
Tm3 Tm 0.2384 0.3000 0.7281 1
```

Structure and simulated powder XRD pattern of Li6Pr2Ag3 (a structure optimized by DFT (GGA-PBE); Cu Kα).
No peak broadening, texture or thermal motion is included.

Largest 10 diffraction maxima, by intensity, 10 to 90 degrees two-theta:
| index | 2θ/deg | Rel. int. |
| --- | --- | --- |
| 1 1 1 | 30.71 | 100 |
| 1 0 0 | 12.37 | 72 |
| 2 0 1 | 33.19 | 56 |
| 1 1 0 | 21.52 | 36 |
| 3 0 0 | 37.73 | 25 |
| 3 1 0 | 45.73 | 20 |
| 2 1 1 | 39.93 | 18 |
| 5 0 1 | 69.57 | 14 |
| 3 1 2 | 65.43 | 13 |
| 3 0 2 | 59.42 | 13 |

Cell and atoms:
```
data_Li6Pr2Ag3
_chemical_formula_sum 'Li6 Pr2 Ag3'
_space_group_name_H-M_alt 'P -6 2 m'
_space_group_IT_number 189
_space_group_name_Hall 'P -6 -2'
_cell_length_a 8.2599
_cell_length_b 8.2599
_cell_length_c 4.1048
_cell_angle_alpha 90.00
_cell_angle_beta 90.00
_cell_angle_gamma 120.00
loop_
_atom_site_label
_atom_site_type_symbol
_atom_site_fract_x
_atom_site_fract_y
_atom_site_fract_z
_atom_site_occupancy
Li1 Li 0.0000 0.2671 0.0000 1
Li2 Li 0.0000 0.7989 0.5000 1
Pr1 Pr 0.3333 0.6667 0.5000 1
Ag1 Ag 0.0000 0.5967 0.0000 1
```

Number 1 is which compound? Mg3GaRh3